Entry 1:
# WI6
Computed powder diffraction line list, Cu Kα (weighted mean of Kα1 and Kα2). Input: a cell relaxed with GGA-PBE.
Lines closer than 0.1° are merged.

Structural model:
```
data_WI6
_chemical_formula_sum 'W1 I6'
_symmetry_space_group_name_H-M 'P -3 1 m'
_symmetry_Int_Tables_number 162
_symmetry_space_group_name_Hall '-P 3 2'
_cell_length_a 7.1798
_cell_length_b 7.1798
_cell_length_c 6.3396
_cell_angle_alpha 90.00
_cell_angle_beta 90.00
_cell_angle_gamma 120.00
loop_
_atom_site_label
_atom_site_fract_x
_atom_site_fract_y
_atom_site_fract_z
_atom_site_occupancy
W1 0.0000 0.0000 0.0000 1
I1 0.0000 0.3083 0.7534 1
```

Peak list (12 most intense, 2θ = 5–70°, in order of rising 2θ)
2θ = 14.24°, I 38, (1 0 0)
2θ = 20.00°, I 18, (1 0 1)
2θ = 28.15°, I 13, (0 0 2)
2θ = 28.57°, I 100, (1 1 1)
2θ = 37.86°, I 32, (1 1 2)
2θ = 40.65°, I 8, (2 0 2)
2θ = 40.96°, I 11, (2 1 1)
2θ = 43.67°, I 28, (3 0 0)
2θ = 50.09°, I 21, (2 -1 3)
2θ = 52.77°, I 11, (3 0 2)
2θ = 53.04°, I 20, (4 -2 1)
2θ = 59.15°, I 8, (4 -2 2)



Entry 2:
# YW3I
Computed powder diffraction line list, Cu Kα (weighted mean of Kα1 and Kα2). Input: a cell relaxed with GGA-PBE.
Lines closer than 0.1° are merged.

Structural model:
```
data_YW3I
_chemical_formula_sum 'Y1 W3 I1'
_symmetry_space_group_name_H-M 'P m -3 m'
_symmetry_Int_Tables_number 221
_symmetry_space_group_name_Hall '-P 4 2 3'
_cell_length_a 4.9158
_cell_length_b 4.9158
_cell_length_c 4.9158
_cell_angle_alpha 90.00
_cell_angle_beta 90.00
_cell_angle_gamma 90.00
loop_
_atom_site_label
_atom_site_fract_x
_atom_site_fract_y
_atom_site_fract_z
_atom_site_occupancy
Y1 0.0000 0.0000 0.0000 1
W1 0.0000 0.5000 0.5000 1
I1 0.5000 0.5000 0.5000 1
```

Peak list (10 most intense, 2θ = 5–70°, in order of rising 2θ)
2θ = 18.05°, I 46, (1 0 0)
2θ = 25.63°, I 1, (1 1 0)
2θ = 31.52°, I 89, (1 1 1)
2θ = 36.56°, I 100, (2 0 0)
2θ = 41.06°, I 23, (2 1 0)
2θ = 52.66°, I 70, (2 2 0)
2θ = 56.13°, I 12, (3 0 0)
2θ = 62.68°, I 38, (3 1 1)
2θ = 65.81°, I 24, (2 2 2)
2θ = 68.87°, I 5, (3 2 0)



Entry 3:
# Zr2W2I
Computed powder diffraction line list, Cu Kα (weighted mean of Kα1 and Kα2). Input: a cell relaxed with GGA-PBE.
Lines closer than 0.1° are merged.

Structural model:
```
data_Zr2W2I
_chemical_formula_sum 'Zr4 W4 I2'
_symmetry_space_group_name_H-M 'I 4/m m m'
_symmetry_Int_Tables_number 139
_symmetry_space_group_name_Hall '-I 4 2'
_cell_length_a 3.7380
_cell_length_b 3.7380
_cell_length_c 16.8044
_cell_angle_alpha 90.00
_cell_angle_beta 90.00
_cell_angle_gamma 90.00
loop_
_atom_site_label
_atom_site_fract_x
_atom_site_fract_y
_atom_site_fract_z
_atom_site_occupancy
Zr1 0.0000 0.0000 0.1199 1
W1 0.0000 0.5000 0.2500 1
I1 0.0000 0.0000 0.5000 1
```

Peak list (12 most intense, 2θ = 5–70°, in order of rising 2θ)
2θ = 10.53°, I 85, (0 0 2)
2θ = 21.15°, I 33, (0 0 4)
2θ = 28.71°, I 43, (1 0 3)
2θ = 35.61°, I 100, (1 1 2)
2θ = 35.93°, I 30, (1 0 5)
2θ = 40.31°, I 51, (1 1 4)
2θ = 43.06°, I 26, (0 0 8)
2θ = 47.29°, I 37, (1 1 6)
2θ = 48.72°, I 37, (2 0 0)
2θ = 62.00°, I 12, (2 1 5)
2θ = 65.86°, I 20, (1 1 10)
2θ = 67.02°, I 28, (2 0 8)



Entry 4:
# YI
Computed powder diffraction line list, Cu Kα (weighted mean of Kα1 and Kα2). Input: a cell relaxed with GGA-PBE.
Lines closer than 0.1° are merged.

Structural model:
```
data_YI
_chemical_formula_sum 'Y2 I2'
_symmetry_space_group_name_H-M 'P 4/n m m'
_symmetry_Int_Tables_number 129
_cell_length_a 3.9260
_cell_length_b 3.9260
_cell_length_c 9.5083
_cell_angle_alpha 90.00
_cell_angle_beta 90.00
_cell_angle_gamma 90.00
loop_
_symmetry_equiv_pos_as_xyz
'x,y,z'
'-x,-y,-z'
'-y+1/2,x,z'
'y+1/2,-x,-z'
'-x+1/2,-y+1/2,z'
'x+1/2,y+1/2,-z'
'y,-x+1/2,z'
'-y,x+1/2,-z'
'x+1/2,-y,-z'
'-x+1/2,y,z'
'-y,-x,-z'
'y,x,z'
'-x,y+1/2,-z'
'x,-y+1/2,z'
'y+1/2,x+1/2,-z'
'-y+1/2,-x+1/2,z'
loop_
_atom_site_label
_atom_site_fract_x
_atom_site_fract_y
_atom_site_fract_z
_atom_site_occupancy
Y1 0.2500 0.2500 0.1189 1
I1 0.2500 0.2500 0.7023 1
```

Peak list (12 most intense, 2θ = 5–70°, in order of rising 2θ)
2θ = 9.30°, I 13, (0 0 1)
2θ = 18.66°, I 28, (0 0 2)
2θ = 24.53°, I 20, (1 0 1)
2θ = 29.51°, I 100, (1 0 2)
2θ = 32.25°, I 71, (1 1 0)
2θ = 36.43°, I 48, (1 0 3)
2θ = 37.52°, I 19, (1 1 2)
2θ = 46.25°, I 25, (2 0 0)
2θ = 55.82°, I 32, (2 1 2)
2θ = 58.86°, I 21, (1 1 5)
2θ = 60.26°, I 22, (2 1 3)
2θ = 68.73°, I 13, (2 0 5)